The following is a theoretical powder diffractogram of Li2TlAg2Sn2. It was derived from a DFT-relaxed cell (GGA-PBE, Alexandria), using λ = 1.5418 Å (Cu Kα).

The 10 most intense peaks (2θ from 10° to 90°), in order of falling intensity:
hkl 1 1 0, 2.330 Å, intensity 100; hkl 1 0 7, 2.601 Å, intensity 91; hkl 0 1 2, 3.823 Å, intensity 50; hkl 0 1 8, 2.395 Å, intensity 43; hkl 0 1 5, 3.079 Å, intensity 40; hkl 1 1 15, 1.312 Å, intensity 29; hkl 0 2 7, 1.736 Å, intensity 27; hkl 2 1 7, 1.392 Å, intensity 27; hkl 1 0 1, 3.979 Å, intensity 26; hkl 1 0 4, 3.341 Å, intensity 21

abc: 4.6609 4.6609 23.8077
angles: 90.00 90.00 120.00
Space group R-3m (No. 166, hexagonal axes)
Symmetry-distinct sites (fractional):
Li  0.0000  0.0000  0.2252
Tl  0.0000  0.0000  0.5000
Ag  0.0000  0.0000  0.0940
Sn  0.0000  0.0000  0.3666